Simulated powder diffraction line list of Fe6Sn4F19 for Cu Kα X-rays, from a crystal structure in Alexandria, relaxed with GGA+U.
Neutral-atom scattering factors, no anomalous dispersion.

The 12 most intense peaks (2θ from 10° to 90°), by intensity:
22.68 deg, I = 100; 29.41 deg, I = 69; 39.83 deg, I = 63; 52.17 deg, I = 37; 48.33 deg, I = 37; 57.59 deg, I = 34; 34.96 deg, I = 31; 32.29 deg, I = 25; 72.30 deg, I = 23; 46.32 deg, I = 21; 85.87 deg, I = 15; 87.35 deg, I = 14

Structural model:
```
Fe6Sn4F19
1.0
-4.802 4.802 4.802
4.802 -4.802 4.802
4.802 4.802 -4.802
Fe Sn F
6 4 19
direct
0.161 0.661 0.500
0.339 0.500 0.839
0.500 0.161 0.661
0.500 0.839 0.339
0.661 0.500 0.161
0.839 0.339 0.500
0.000 0.000 0.693
0.000 0.693 0.000
0.307 0.307 0.307
0.693 0.000 0.000
0.000 0.000 0.000
0.000 0.344 0.344
0.000 0.656 0.656
0.032 0.312 0.701
0.280 0.968 0.669
0.299 0.611 0.331
0.312 0.701 0.032
0.331 0.299 0.611
0.344 0.000 0.344
0.344 0.344 0.000
0.389 0.688 0.720
0.611 0.331 0.299
0.656 0.000 0.656
0.656 0.656 0.000
0.669 0.280 0.968
0.688 0.720 0.389
0.701 0.032 0.312
0.720 0.389 0.688
0.968 0.669 0.280
```